Starting from a PBE-relaxed structure, the XRD peak list of La5Sb4N was simulated for CuKα.

Atomic structure:
```
La5Sb4N
1.0
-4.965 4.965 3.256
4.965 -4.965 3.256
4.965 4.965 -3.256
La Sb N
5 4 1
direct
0.000 0.000 0.000
0.155 0.330 0.639
0.330 0.691 0.175
0.517 0.155 0.825
0.691 0.517 0.361
0.008 0.614 0.784
0.225 0.008 0.395
0.614 0.830 0.605
0.830 0.225 0.216
0.350 0.350 0.000
```

Peak list (12 most intense, 5° ≤ 2θ ≤ 70°, by intensity)
2θ (°)  I/Imax
28.42  100
39.89  76
27.39  52
40.63  32
49.70  32
64.48  16
66.58  12
24.26  12
35.39  12
30.28  11
66.07  11
61.46  10